The following is a simulated powder diffraction line list of NaLi5Fe2P2C2O14. It was derived from a cell relaxed with GGA+U, using Cu Kα.

Top 10 peaks for 2θ from 10° to 80°, sorted by position:
2theta, Rel. int.
10.27, 91
20.09, 39
20.89, 39
26.68, 33
27.25, 100
31.16, 19
35.82, 30
36.90, 18
39.23, 16
56.22, 17

Atomic structure:
```
data_NaLi5Fe2P2C2O14
_cell_length_a 5.0187
_cell_length_b 8.6238
_cell_length_c 13.0900
_cell_angle_alpha 90.50
_cell_angle_beta 90.00
_cell_angle_gamma 92.54
_symmetry_space_group_name_H-M 'P 1'
_symmetry_Int_Tables_number 1
loop_
_symmetry_equiv_pos_as_xyz
'x,y,z'
loop_
_atom_site_label
_atom_site_fract_x
_atom_site_fract_y
_atom_site_fract_z
Na1 0.0000 0.0000 0.0000
Na2 0.4932 0.8320 0.6217
Li1 0.0023 0.3520 0.6270
Li2 0.0075 0.3552 0.3638
Li3 0.0164 0.3517 0.8666
Li4 0.0166 0.3559 0.1330
Li5 0.4722 0.8142 0.8838
Li6 0.4831 0.8200 0.1205
Li7 0.4854 0.8161 0.3780
Li8 0.4950 0.1714 0.2478
Li9 0.4969 0.1784 0.7522
Li10 0.9973 0.0020 0.4910
Fe1 0.0198 0.7335 0.7486
Fe2 0.0331 0.7378 0.2488
Fe3 0.4576 0.4331 0.4969
Fe4 0.4695 0.4361 0.9980
P1 0.5360 0.4942 0.7485
P2 0.5400 0.4954 0.2490
P3 0.9476 0.6763 0.4945
P4 0.9540 0.6688 0.9984
C1 0.5155 0.1356 0.9979
C2 0.5291 0.1320 0.4923
C3 0.9658 0.0437 0.2459
C4 0.9782 0.0442 0.7502
O1 0.0234 0.7766 0.5903
O2 0.0520 0.5011 0.9972
O3 0.0559 0.7619 0.0938
O4 0.0598 0.5121 0.4977
O5 0.0602 0.7643 0.9063
O6 0.0626 0.7755 0.4037
O7 0.2091 0.9982 0.2453
O8 0.2230 0.0018 0.7492
O9 0.2837 0.1742 0.4965
O10 0.2870 0.2012 0.9967
O11 0.4273 0.6587 0.7561
O12 0.4315 0.4022 0.6526
O13 0.4363 0.3970 0.1559
O14 0.4363 0.3969 0.3416
O15 0.4367 0.6618 0.2488
O16 0.4414 0.3894 0.8387
O17 0.5262 0.9853 0.9991
O18 0.5847 0.9876 0.4820
O19 0.6384 0.6588 0.4848
O20 0.6406 0.6618 0.9976
O21 0.7244 0.2368 0.4989
O22 0.7305 0.2250 0.9980
O23 0.7674 0.9414 0.2438
O24 0.7852 0.9384 0.7552
O25 0.8479 0.5082 0.7461
O26 0.8518 0.5076 0.2493
O27 0.9169 0.1910 0.2482
O28 0.9201 0.1898 0.7470
```


The following is a simulated powder diffraction line list of Mn3CrCo2P6O24. It was derived from a cell relaxed with GGA+U, using Cu Kα.

Top 10 peaks for 2θ from 10° to 80°, sorted by position:
2theta, Rel. int.
20.71, 89
24.44, 100
25.48, 19
32.17, 18
33.35, 67
36.28, 38
47.83, 35
50.10, 25
56.80, 27
63.41, 19

Atomic structure:
```
data_Mn3CrCo2P6O24
_cell_length_a 8.5775
_cell_length_b 8.5775
_cell_length_c 20.6802
_cell_angle_alpha 90.00
_cell_angle_beta 90.00
_cell_angle_gamma 120.00
_symmetry_space_group_name_H-M 'R 3'
_symmetry_Int_Tables_number 146
_symmetry_space_group_name_Hall 'R 3'
loop_
_atom_site_label
_atom_site_fract_x
_atom_site_fract_y
_atom_site_fract_z
Mn1 0.0000 0.0000 0.0000
Mn2 0.0000 0.0000 0.2156
Mn3 0.0000 0.0000 0.7153
Cr1 0.0000 0.0000 0.4987
Co1 0.0000 0.0000 0.3580
Co2 0.0000 0.0000 0.8572
P1 0.9996 0.2916 0.6082
P2 0.0003 0.7098 0.1073
O1 0.9998 0.8077 0.0453
O2 0.0010 0.1976 0.5467
O3 0.0157 0.1814 0.2819
O4 0.0218 0.8372 0.7808
O5 0.1387 0.4673 0.3373
O6 0.1394 0.6705 0.8364
O7 0.1684 0.6872 0.1001
O8 0.1730 0.4845 0.6020
```


The following is a simulated powder diffraction line list of Cr2O5. It was derived from a cell relaxed with GGA+U, using Cu Kα.

Top 10 peaks for 2θ from 10° to 80°, sorted by position:
2theta, Rel. int.
24.08, 100
26.27, 36
30.90, 9
32.31, 10
35.94, 19
42.11, 12
49.32, 15
54.07, 9
56.73, 9
60.00, 17

Atomic structure:
```
data_Cr2O5
_cell_length_a 5.7883
_cell_length_b 9.6022
_cell_length_c 3.3919
_cell_angle_alpha 90.00
_cell_angle_beta 90.00
_cell_angle_gamma 90.00
_symmetry_space_group_name_H-M 'P b a m'
_symmetry_Int_Tables_number 55
loop_
_symmetry_equiv_pos_as_xyz
'x,y,z'
'-x,-y,-z'
'-x,-y,z'
'x,y,-z'
'x+1/2,-y+1/2,-z'
'-x+1/2,y+1/2,z'
'-x+1/2,y+1/2,-z'
'x+1/2,-y+1/2,z'
loop_
_atom_site_label
_atom_site_fract_x
_atom_site_fract_y
_atom_site_fract_z
Cr1 0.2095 0.1351 0.0000
O1 0.0000 0.0000 0.0000
O2 0.0550 0.2811 0.0000
O3 0.2029 0.6004 0.5000
```


The following is a simulated powder diffraction line list of Na2FeS2O12. It was derived from a cell relaxed with GGA+U, using Cu Kα.

Top 10 peaks for 2θ from 10° to 80°, sorted by position:
2theta, Rel. int.
19.16, 51
19.53, 57
20.27, 33
21.31, 46
21.92, 24
23.86, 29
26.26, 31
26.66, 79
26.98, 100
34.76, 25

Atomic structure:
```
data_Na2FeS2O12
_cell_length_a 5.4686
_cell_length_b 8.3376
_cell_length_c 11.2436
_cell_angle_alpha 90.00
_cell_angle_beta 97.54
_cell_angle_gamma 90.00
_symmetry_space_group_name_H-M 'P 1 21/c 1'
_symmetry_Int_Tables_number 14
loop_
_symmetry_equiv_pos_as_xyz
'x,y,z'
'-x,-y,-z'
'-x,y+1/2,-z+1/2'
'x,-y+1/2,z+1/2'
loop_
_atom_site_label
_atom_site_fract_x
_atom_site_fract_y
_atom_site_fract_z
Na1 0.1084 0.0716 0.3592
Fe1 0.0000 0.0000 0.0000
S1 0.3760 0.2050 0.6389
O1 0.0788 0.5094 0.3450
O2 0.1159 0.6792 0.5836
O3 0.2156 0.0796 0.5785
O4 0.3170 0.1363 0.0754
O5 0.3350 0.2264 0.7661
O6 0.3624 0.6687 0.8679
```


The following is a simulated powder diffraction line list of NaMg14CrO16. It was derived from a cell relaxed with GGA+U, using Cu Kα.

Top 10 peaks for 2θ from 10° to 80°, sorted by position:
2theta, Rel. int.
10.34, 5
14.64, 4
23.26, 4
36.39, 20
42.24, 100
42.32, 50
61.31, 84
73.34, 4
73.49, 8
77.29, 25

Atomic structure:
```
data_NaMg14CrO16
_cell_length_a 4.2715
_cell_length_b 8.5494
_cell_length_c 8.5658
_cell_angle_alpha 90.00
_cell_angle_beta 90.00
_cell_angle_gamma 90.00
_symmetry_space_group_name_H-M 'P m m m'
_symmetry_Int_Tables_number 47
loop_
_symmetry_equiv_pos_as_xyz
'x,y,z'
'-x,-y,-z'
'-x,-y,z'
'x,y,-z'
'x,-y,-z'
'-x,y,z'
'-x,y,-z'
'x,-y,z'
loop_
_atom_site_label
_atom_site_fract_x
_atom_site_fract_y
_atom_site_fract_z
Na1 0.0000 0.0000 0.0000
Mg1 0.0000 0.2504 0.2444
Mg2 0.0000 0.5000 0.0000
Mg3 0.0000 0.5000 0.5000
Mg4 0.5000 0.0000 0.2414
Mg5 0.5000 0.2472 0.0000
Mg6 0.5000 0.2517 0.5000
Mg7 0.5000 0.5000 0.2476
Cr1 0.0000 0.0000 0.5000
O1 0.0000 0.0000 0.2688
O2 0.0000 0.2419 0.5000
O3 0.0000 0.2638 0.0000
O4 0.0000 0.5000 0.2565
O5 0.5000 0.0000 0.0000
O6 0.5000 0.0000 0.5000
O7 0.5000 0.2491 0.2521
O8 0.5000 0.5000 0.0000
O9 0.5000 0.5000 0.5000
```


The following is a simulated powder diffraction line list of Ca2NiSbO6. It was derived from a cell relaxed with GGA+U, using Cu Kα.

Top 10 peaks for 2θ from 10° to 80°, sorted by position:
2theta, Rel. int.
22.05, 36
23.08, 66
31.86, 46
32.12, 100
32.42, 47
32.86, 89
44.98, 32
47.16, 56
57.17, 25
58.58, 23

Atomic structure:
```
data_Ca2NiSbO6
_cell_length_a 5.5285
_cell_length_b 7.7139
_cell_length_c 5.6229
_cell_angle_alpha 90.00
_cell_angle_beta 92.60
_cell_angle_gamma 90.00
_symmetry_space_group_name_H-M 'P 1 21/m 1'
_symmetry_Int_Tables_number 11
loop_
_symmetry_equiv_pos_as_xyz
'x,y,z'
'-x,-y,-z'
'-x,y+1/2,-z'
'x,-y+1/2,z'
loop_
_atom_site_label
_atom_site_fract_x
_atom_site_fract_y
_atom_site_fract_z
Ca1 0.0022 0.2500 0.0395
Ca2 0.4795 0.7500 0.4364
Ni1 0.5000 0.0000 0.0000
Sb1 0.0000 0.0000 0.5000
O1 0.1032 0.2500 0.4615
O2 0.1859 0.5502 0.2156
O3 0.3018 0.5475 0.7003
O4 0.4149 0.2500 0.9634
```


The following is a simulated powder diffraction line list of MgTi2Ni2O6. It was derived from a cell relaxed with GGA+U, using Cu Kα.

Top 10 peaks for 2θ from 10° to 80°, sorted by position:
2theta, Rel. int.
19.88, 46
21.51, 43
23.37, 100
31.18, 82
32.83, 91
38.86, 57
39.66, 49
47.82, 43
49.15, 31
53.26, 38

Atomic structure:
```
data_MgTi2Ni2O6
_cell_length_a 5.3063
_cell_length_b 5.4650
_cell_length_c 5.4732
_cell_angle_alpha 63.66
_cell_angle_beta 89.88
_cell_angle_gamma 61.15
_symmetry_space_group_name_H-M 'P 1'
_symmetry_Int_Tables_number 1
loop_
_symmetry_equiv_pos_as_xyz
'x,y,z'
loop_
_atom_site_label
_atom_site_fract_x
_atom_site_fract_y
_atom_site_fract_z
Mg1 0.0000 0.0000 0.0000
Ti1 0.3975 0.5220 0.6901
Ti2 0.9821 0.4162 0.2515
Ni1 0.5092 0.8299 0.2581
Ni2 0.7357 0.8782 0.6550
O1 0.0569 0.6567 0.4164
O2 0.1462 0.6360 0.9311
O3 0.3101 0.9979 0.4874
O4 0.5679 0.0652 0.9133
O5 0.7200 0.3498 0.4860
O6 0.7727 0.4439 0.9403
```


The following is a simulated powder diffraction line list of NaFeAsCO7. It was derived from a cell relaxed with GGA+U, using Cu Kα.

Top 10 peaks for 2θ from 10° to 80°, sorted by position:
2theta, Rel. int.
16.31, 42
18.62, 54
19.39, 52
23.55, 75
24.63, 82
26.68, 100
32.96, 35
33.22, 64
36.58, 43
54.96, 37

Atomic structure:
```
data_NaFeAsCO7
_cell_length_a 5.3975
_cell_length_b 6.6817
_cell_length_c 9.3521
_cell_angle_alpha 90.00
_cell_angle_beta 92.66
_cell_angle_gamma 90.00
_symmetry_space_group_name_H-M 'P 1 21 1'
_symmetry_Int_Tables_number 4
loop_
_symmetry_equiv_pos_as_xyz
'x,y,z'
'-x,y+1/2,-z'
loop_
_atom_site_label
_atom_site_fract_x
_atom_site_fract_y
_atom_site_fract_z
Na1 0.2327 0.0000 0.2695
Fe1 0.2074 0.7803 0.8521
As1 0.2778 0.2710 0.9284
C1 0.2755 0.7632 0.5824
O1 0.0575 0.7661 0.6342
O2 0.1334 0.2577 0.0884
O3 0.1988 0.4753 0.8259
O4 0.2124 0.0686 0.8226
O5 0.3075 0.7690 0.4504
O6 0.4054 0.7825 0.0298
O7 0.4590 0.7560 0.6774
```


What is the formula in the first record? NaLi5Fe2P2C2O14